This entry pairs a crystal structure of SmEr5Tm3 with its simulated powder diffraction line list. Radiation: Cu Kα (weighted mean of Kα1 and Kα2). Structure: the GGA-PBE geometry in Alexandria.
Neutral-atom scattering factors, no anomalous dispersion.

Structure:
```
18
Lattice="-3.572 8.600 4.575 3.572 -8.600 4.575 3.572 8.600 -4.575" Properties=species:S:1:pos:R:3 pbc="T T T"
Sm 0.000 4.300 0.439
Sm 3.572 4.300 4.136
Er 1.769 1.481 0.643
Er 5.375 1.481 0.643
Er 3.572 4.300 0.818
Er 1.769 7.119 0.643
Er 1.803 -1.481 5.218
Er 1.769 10.081 -0.643
Er 1.803 1.481 3.932
Er 0.000 4.300 3.757
Er -1.803 7.119 3.932
Er 1.803 7.119 3.932
Tm 1.786 4.300 -2.287
Tm 1.786 -4.300 2.287
Tm 3.572 -1.129 2.268
Tm 3.572 7.472 -2.268
Tm 0.000 1.129 6.843
Tm 0.000 9.729 2.307
```

Peak list (10 most intense, 2θ = 10–80°, in order of rising 2θ)
- 2θ = 29.75°, intensity 58
- 2θ = 31.08°, intensity 100
- 2θ = 31.20°, intensity 60
- 2θ = 33.49°, intensity 63
- 2θ = 38.21°, intensity 28
- 2θ = 39.48°, intensity 35
- 2θ = 51.14°, intensity 18
- 2θ = 53.64°, intensity 20
- 2θ = 58.96°, intensity 30
- 2θ = 61.14°, intensity 18

---

This entry pairs a crystal structure of Ni21B6As2 with its simulated powder diffraction line list. Radiation: Cu Kα (weighted mean of Kα1 and Kα2). Structure: the GGA-PBE geometry in Alexandria.
Neutral-atom scattering factors, no anomalous dispersion.

Structure:
```
29
Lattice="0.000 5.255 5.255 5.255 0.000 5.255 5.255 5.255 0.000" Properties=species:S:1:pos:R:3 pbc="T T T"
Ni 0.000 0.000 0.000
Ni 1.768 1.768 0.000
Ni 3.487 3.487 0.000
Ni 1.768 0.000 1.768
Ni 5.255 3.487 1.768
Ni 3.487 0.000 3.487
Ni 5.255 1.768 3.487
Ni 6.507 4.002 4.002
Ni 0.000 1.768 1.768
Ni 3.487 5.255 1.768
Ni 3.487 1.768 5.255
Ni 4.002 4.002 4.002
Ni 6.507 6.507 4.002
Ni 6.507 4.002 6.507
Ni 4.002 6.507 4.002
Ni 4.002 4.002 6.507
Ni 6.507 6.507 6.507
Ni 0.000 3.487 3.487
Ni 1.768 5.255 3.487
Ni 1.768 3.487 5.255
Ni 4.002 6.507 6.507
B 5.255 5.255 2.864
B 5.255 2.864 5.255
B 7.646 5.255 5.255
B 2.864 5.255 5.255
B 5.255 7.646 5.255
B 5.255 5.255 7.646
As 2.627 2.627 2.627
As 7.882 7.882 7.882
```

Peak list (10 most intense, 2θ = 10–80°, in order of rising 2θ)
- 2θ = 38.30°, intensity 27
- 2θ = 42.12°, intensity 34
- 2θ = 44.81°, intensity 100
- 2θ = 49.03°, intensity 23
- 2θ = 51.44°, intensity 26
- 2θ = 52.22°, intensity 12
- 2θ = 58.23°, intensity 8
- 2θ = 74.44°, intensity 7
- 2θ = 76.99°, intensity 23
- 2θ = 78.88°, intensity 13

---

This entry pairs a crystal structure of Rb3Ac2ThTe6 with its simulated powder diffraction line list. Radiation: Cu Kα (weighted mean of Kα1 and Kα2). Structure: the GGA-PBE geometry in Alexandria.
Neutral-atom scattering factors, no anomalous dispersion.

Structure:
```
12
Lattice="4.121 -7.137 0.000 4.121 7.137 0.000 -2.754 0.000 8.629" Properties=species:S:1:pos:R:3 pbc="T T T"
Rb 0.000 0.000 0.000
Rb 4.121 2.436 0.000
Rb 4.121 -2.436 0.000
Ac 2.744 4.765 4.315
Ac 2.744 -4.765 4.315
Th 2.744 0.000 4.315
Te 1.436 2.269 2.488
Te 0.129 0.000 6.150
Te 1.436 -2.269 2.488
Te 4.052 2.269 6.141
Te 5.359 0.000 2.479
Te 4.052 -2.269 6.141
```

Peak list (10 most intense, 2θ = 10–80°, in order of rising 2θ)
- 2θ = 10.25°, intensity 32
- 2θ = 25.63°, intensity 100
- 2θ = 32.53°, intensity 13
- 2θ = 35.26°, intensity 38
- 2θ = 37.81°, intensity 37
- 2θ = 46.24°, intensity 20
- 2θ = 52.66°, intensity 12
- 2θ = 57.68°, intensity 14
- 2θ = 61.20°, intensity 17
- 2θ = 66.64°, intensity 11

---

This entry pairs a crystal structure of CaPa2FeN4 with its simulated powder diffraction line list. Radiation: Cu Kα (weighted mean of Kα1 and Kα2). Structure: the GGA-PBE geometry in Alexandria.
Neutral-atom scattering factors, no anomalous dispersion.

Structure:
```
16
Lattice="1.763 -5.806 0.000 1.763 5.806 0.000 0.000 0.000 11.517" Properties=species:S:1:pos:R:3 pbc="T T T"
Ca 1.763 4.776 8.638
Ca 1.763 -4.776 2.879
Pa 1.763 1.528 6.457
Pa 1.763 1.528 10.819
Pa 1.763 -1.528 0.699
Pa 1.763 -1.528 5.060
Fe 1.763 3.768 2.879
Fe 1.763 -3.768 8.638
N 0.000 0.000 0.000
N 0.000 0.000 5.759
N 1.763 2.768 1.216
N 1.763 2.768 4.543
N 1.763 0.745 8.638
N 1.763 -0.745 2.879
N 1.763 -2.768 6.975
N 1.763 -2.768 10.301
```

Peak list (10 most intense, 2θ = 10–80°, in order of rising 2θ)
- 2θ = 15.39°, intensity 56
- 2θ = 17.10°, intensity 60
- 2θ = 26.41°, intensity 37
- 2θ = 27.86°, intensity 82
- 2θ = 30.75°, intensity 100
- 2θ = 34.40°, intensity 30
- 2θ = 35.42°, intensity 54
- 2θ = 37.89°, intensity 57
- 2θ = 42.21°, intensity 37
- 2θ = 52.92°, intensity 54

---

This entry pairs a crystal structure of Na2SnGe2H2O8 with its simulated powder diffraction line list. Radiation: Cu Kα (weighted mean of Kα1 and Kα2). Structure: the GGA-PBE geometry in Alexandria.
Neutral-atom scattering factors, no anomalous dispersion.

Structure:
```
30
Lattice="5.631 0.000 0.000 1.454 5.774 0.000 1.992 -0.137 11.346" Properties=species:S:1:pos:R:3 pbc="T T T"
Na 1.012 0.959 3.973
Na 2.227 2.387 0.709
Na 6.850 3.251 10.637
Na 8.065 4.679 7.373
Sn 0.000 0.000 0.000
Sn 3.811 -0.068 5.673
Ge 2.899 1.531 8.498
Ge 3.416 3.180 4.232
Ge 5.661 2.458 7.115
Ge 6.178 4.107 2.848
H 4.436 3.881 9.728
H 3.581 5.601 1.427
H 5.496 0.036 9.920
H 4.642 1.757 1.618
O 2.090 3.186 3.001
O 3.072 1.302 10.228
O 1.317 0.352 1.577
O 3.497 4.739 5.042
O 2.981 1.793 5.210
O 2.996 0.065 7.564
O 4.666 4.104 10.658
O 4.152 2.769 8.066
O 4.925 2.869 3.280
O 4.411 1.534 0.689
O 6.081 5.572 3.782
O 6.096 3.845 6.137
O 5.580 0.899 6.304
O 7.760 5.285 9.770
O 6.005 4.336 1.118
O 6.987 2.452 8.345
```

Peak list (10 most intense, 2θ = 10–80°, in order of rising 2θ)
- 2θ = 16.99°, intensity 100
- 2θ = 17.32°, intensity 44
- 2θ = 19.43°, intensity 44
- 2θ = 21.83°, intensity 59
- 2θ = 28.67°, intensity 45
- 2θ = 31.14°, intensity 51
- 2θ = 33.03°, intensity 74
- 2θ = 34.31°, intensity 56
- 2θ = 35.05°, intensity 43
- 2θ = 40.29°, intensity 54

---

This entry pairs a crystal structure of K2Si2S5 with its simulated powder diffraction line list. Radiation: Cu Kα (weighted mean of Kα1 and Kα2). Structure: the GGA-PBE geometry in Alexandria.
Neutral-atom scattering factors, no anomalous dispersion.

Structure:
```
9
Lattice="6.045 -2.416 0.000 6.045 2.416 0.000 -1.219 0.000 7.942" Properties=species:S:1:pos:R:3 pbc="T T T"
K 0.712 0.000 2.568
K 10.160 0.000 5.374
Si 4.016 0.000 0.879
Si 6.856 0.000 7.064
S 1.106 0.000 7.490
S 4.024 0.000 2.927
S 6.045 0.000 0.000
S 6.848 0.000 5.015
S 9.766 0.000 0.452
```

Peak list (10 most intense, 2θ = 10–80°, in order of rising 2θ)
- 2θ = 11.14°, intensity 73
- 2θ = 17.16°, intensity 40
- 2θ = 23.34°, intensity 90
- 2θ = 29.19°, intensity 64
- 2θ = 29.91°, intensity 33
- 2θ = 30.32°, intensity 52
- 2θ = 32.44°, intensity 100
- 2θ = 33.86°, intensity 33
- 2θ = 34.75°, intensity 54
- 2θ = 37.21°, intensity 80

---

This entry pairs a crystal structure of Rb2MoH6 with its simulated powder diffraction line list. Radiation: Cu Kα (weighted mean of Kα1 and Kα2). Structure: the GGA-PBE geometry in Alexandria.
Neutral-atom scattering factors, no anomalous dispersion.

Structure:
```
18
Lattice="6.318 0.000 0.000 -3.159 5.472 0.000 0.000 0.000 8.413" Properties=species:S:1:pos:R:3 pbc="T T T"
Rb 0.000 0.000 0.000
Rb 0.000 0.000 4.206
Rb 0.000 3.648 2.163
Rb 3.159 1.824 6.369
Mo 0.000 3.648 6.054
Mo 3.159 1.824 1.847
H -1.006 3.067 4.743
H 0.000 1.879 6.265
H -1.532 4.532 6.265
H 1.627 0.940 2.058
H 1.006 3.067 4.743
H 0.000 4.810 4.743
H 3.159 0.662 0.537
H 2.153 2.405 0.537
H 1.532 4.532 6.265
H 4.691 0.940 2.058
H 3.159 3.593 2.058
H 4.165 2.405 0.537
```

Peak list (10 most intense, 2θ = 10–80°, in order of rising 2θ)
- 2θ = 26.73°, intensity 96
- 2θ = 28.25°, intensity 100
- 2θ = 35.54°, intensity 13
- 2θ = 39.28°, intensity 36
- 2θ = 49.09°, intensity 35
- 2θ = 50.01°, intensity 20
- 2θ = 52.25°, intensity 29
- 2θ = 58.43°, intensity 13
- 2θ = 65.37°, intensity 15
- 2θ = 68.04°, intensity 13

---

This entry pairs a crystal structure of Ba3MgTa2O9 with its simulated powder diffraction line list. Radiation: Cu Kα (weighted mean of Kα1 and Kα2). Structure: the GGA-PBE geometry in Alexandria.
Neutral-atom scattering factors, no anomalous dispersion.

Structure:
```
15
Lattice="5.843 0.000 0.000 -2.921 5.060 0.000 0.000 0.000 7.177" Properties=species:S:1:pos:R:3 pbc="T T T"
Ba 0.000 0.000 0.000
Ba 0.000 3.373 4.767
Ba 2.921 1.687 2.411
Mg 0.000 0.000 3.589
Ta 0.000 3.373 1.269
Ta 2.921 1.687 5.909
O -1.461 2.530 0.000
O 0.000 1.741 2.330
O -1.413 4.189 2.330
O 1.508 0.871 4.848
O 2.921 0.000 0.000
O 1.461 2.530 0.000
O 1.413 4.189 2.330
O 4.335 0.871 4.848
O 2.921 3.318 4.848
```

Peak list (10 most intense, 2θ = 10–80°, in order of rising 2θ)
- 2θ = 17.53°, intensity 9
- 2θ = 21.49°, intensity 8
- 2θ = 30.57°, intensity 100
- 2θ = 43.78°, intensity 30
- 2θ = 54.24°, intensity 11
- 2θ = 54.37°, intensity 31
- 2θ = 63.57°, intensity 10
- 2θ = 63.71°, intensity 9
- 2θ = 72.19°, intensity 9
- 2θ = 72.29°, intensity 9